# 1
Structure and computed powder X-ray diffraction pattern of UI2O9 (a structure optimized by DFT (PBE); copper Kα).
Peak positions follow from Bragg's law for the DFT cell and can differ from measured ones.

Top 10 peaks for 2θ = 5–70°, by angle:
h k l, 2θ/deg, I (rel.)
1 1 0, 15.40, 19
1 1 1, 16.98, 28
1 1 2, 21.05, 100
2 0 2, 25.64, 53
1 2 1, 25.92, 35
0 2 3, 31.28, 25
3 1 0, 34.02, 24
1 3 1, 36.44, 20
3 1 4, 45.12, 24
3 3 3, 52.60, 18

Cell and atoms:
Unit cell a=8.385 b=7.911 c=12.419 alpha=90.00 beta=90.00 gamma=90.00
Space group Pbcn (No. 60)
Symmetry-distinct sites (fractional):
U 0.000 0.074 0.250 (multiplicity 4)
I 0.183 0.400 0.040 (multiplicity 8)
O 0.000 0.229 0.750 (multiplicity 4)
O 0.096 0.317 0.164 (multiplicity 8)
O 0.107 0.382 0.538 (multiplicity 8)
O 0.121 0.034 0.597 (multiplicity 8)
O 0.182 0.062 0.331 (multiplicity 8)

***

# 2
Structure and computed powder X-ray diffraction pattern of U2I2O (a structure optimized by DFT (PBE); copper Kα).
Peak positions follow from Bragg's law for the DFT cell and can differ from measured ones.

Top 10 peaks for 2θ = 5–70°, by angle:
h k l, 2θ/deg, I (rel.)
0 0 1, 6.43, 22
1 0 0, 23.19, 100
0 0 4, 25.92, 25
1 1 0, 33.02, 41
1 0 4, 35.05, 46
1 1 4, 42.45, 27
1 0 6, 46.15, 17
2 0 0, 47.40, 15
2 1 0, 53.40, 21
2 1 4, 60.29, 20

Cell and atoms:
Unit cell a=3.836 b=3.836 c=13.749 alpha=90.00 beta=90.00 gamma=90.00
Space group P4/mmm (No. 123)
Symmetry-distinct sites (fractional):
U 0.000 0.000 0.150 (multiplicity 2)
I 0.000 0.000 0.360 (multiplicity 2)
O 0.000 0.000 0.000 (multiplicity 1)

***

# 3
Structure and computed powder X-ray diffraction pattern of UI2O8 (a structure optimized by DFT (PBE); copper Kα).
Peak positions follow from Bragg's law for the DFT cell and can differ from measured ones.

Top 10 peaks for 2θ = 5–70°, by angle:
h k l, 2θ/deg, I (rel.)
0 2 0, 10.64, 51
0 1 1, 17.79, 95
0 2 1, 20.07, 100
0 3 1, 23.39, 78
1 2 -1, 24.48, 45
1 2 0, 25.52, 100
1 3 -1, 27.30, 70
1 4 0, 31.70, 48
0 4 2, 40.79, 47
1 6 -2, 46.13, 63

Cell and atoms:
Unit cell a=4.266 b=16.631 c=5.799 alpha=90.00 beta=115.67 gamma=90.00
Space group P2_1/c (No. 14)
Symmetry-distinct sites (fractional):
U 0.000 0.000 0.000 (multiplicity 2)
I 0.404 0.161 0.715 (multiplicity 4)
O 0.159 0.629 0.749 (multiplicity 4)
O 0.170 0.058 0.295 (multiplicity 4)
O 0.425 0.063 0.889 (multiplicity 4)
O 0.456 0.728 0.512 (multiplicity 4)

***

# 4
Structure and computed powder X-ray diffraction pattern of Y3I7O (a structure optimized by DFT (PBE); copper Kα).
Peak positions follow from Bragg's law for the DFT cell and can differ from measured ones.

Top 10 peaks for 2θ = 5–70°, by angle:
h k l, 2θ/deg, I (rel.)
0 0 2, 11.89, 35
0 0 4, 23.90, 20
2 0 1, 25.25, 31
2 0 2, 27.33, 100
2 0 3, 30.50, 71
2 0 5, 39.12, 35
2 2 0, 43.15, 44
2 0 6, 44.20, 28
2 2 4, 49.93, 19
2 2 8, 67.27, 21

Cell and atoms:
Unit cell a=8.3854 b=8.3854 c=14.8904 alpha=90.00 beta=90.00 gamma=120.00
Space group P6_3mc (No. 186)
Symmetry-distinct sites (fractional):
Y 0.1470 0.2940 0.0000 (multiplicity 6)
I 0.0009 0.5005 0.6148 (multiplicity 6)
I 0.1705 0.3410 0.3689 (multiplicity 6)
I 0.3333 0.6667 0.8825 (multiplicity 2)
O 0.0000 0.0000 0.0374 (multiplicity 2)

***

What is the formula in the second record? U2I2O